LaReOs: theoretical powder diffractogram (Cu Kα (λ = 1.5418 Å)), based on a structure optimized by DFT (PBE).
Neutral-atom scattering factors, no anomalous dispersion.

Lattice parameters (Å, degrees): 4.1556 4.1556 4.7749 90.00 90.00 120.00
Space group P3m1 (No. 156)
Unique sites:
La1 0.0000 0.0000 0.0000 x1
Re1 0.3333 0.6667 0.4615 x1
Os1 0.6667 0.3333 0.5393 x1

Largest 8 diffraction maxima, by intensity, 2θ from 5° to 70°:
(hkl)	two_theta	d [Å]	intensity
0 1 1	31.12	2.874	100
1 1 0	43.56	2.078	49
1 1 2	58.93	1.567	33
0 0 1	18.58	4.775	27
2 0 1	54.50	1.684	21
0 0 2	37.68	2.387	20
0 1 3	63.96	1.456	15
1 1 1	47.74	1.905	15